1.
KSrPrNbO6: computed powder diffraction line list (Cu Kα (weighted mean of Kα1 and Kα2)), based on a crystal structure in the Materials Project, relaxed with GGA-PBE.
Intensities are scaled so that the largest is 100.

Atomic structure:
```
data_KSrPrNbO6
_chemical_formula_sum 'K4 Sr4 Pr4 Nb4 O24'
_space_group_name_H-M_alt 'F -4 3 m'
_space_group_IT_number 216
_space_group_name_Hall 'F -4 2 3'
_cell_length_a 8.7171
_cell_length_b 8.7171
_cell_length_c 8.7171
_cell_angle_alpha 90.00
_cell_angle_beta 90.00
_cell_angle_gamma 90.00
loop_
_atom_site_label
_atom_site_type_symbol
_atom_site_fract_x
_atom_site_fract_y
_atom_site_fract_z
K1 K 0.0000 0.0000 0.0000
Sr1 Sr 0.0000 0.0000 0.5000
Pr1 Pr 0.2500 0.2500 0.2500
Nb1 Nb 0.2500 0.2500 0.7500
O1 O 0.0192 0.2500 0.7500
```

The 8 most intense peaks (10 to 90 degrees two-theta), sorted by position:
- 2θ = 20.4°, I = 23, hkl 2 0 0
- 2θ = 29.0°, I = 100, hkl 2 2 0
- 2θ = 41.4°, I = 35, hkl 4 0 0
- 2θ = 46.6°, I = 9, hkl 4 2 0
- 2θ = 51.3°, I = 40, hkl 4 2 2
- 2θ = 60.0°, I = 21, hkl 4 4 0
- 2θ = 68.0°, I = 18, hkl 6 2 0
- 2θ = 82.9°, I = 21, hkl 6 4 2

2.
KSrPrNbO6: computed powder diffraction line list (Cu Kα (weighted mean of Kα1 and Kα2)), based on a crystal structure in the Materials Project, relaxed with GGA-PBE.
Intensities are scaled so that the largest is 100.

Atomic structure:
```
data_KSrPrNbO6
_chemical_formula_sum 'K4 Sr4 Pr4 Nb4 O24'
_space_group_name_H-M_alt 'P n n n'
_space_group_IT_number 48
_cell_length_a 8.6626
_cell_length_b 8.6669
_cell_length_c 8.7014
_cell_angle_alpha 90.00
_cell_angle_beta 90.00
_cell_angle_gamma 90.00
loop_
_space_group_symop_operation_xyz
'x,y,z'
'-x,-y,-z'
'-x+1/2,-y+1/2,z'
'x+1/2,y+1/2,-z'
'x,-y+1/2,-z+1/2'
'-x,y+1/2,z+1/2'
'-x+1/2,y,-z+1/2'
'x+1/2,-y,z+1/2'
loop_
_atom_site_label
_atom_site_type_symbol
_atom_site_fract_x
_atom_site_fract_y
_atom_site_fract_z
K1 K 0.2500 0.2500 0.2500
K2 K 0.2500 0.7500 0.7500
Sr1 Sr 0.2500 0.2500 0.7500
Sr2 Sr 0.2500 0.7500 0.2500
Pr1 Pr 0.0000 0.0000 0.0000
Nb1 Nb 0.0000 0.0000 0.5000
O1 O 0.0221 0.2312 0.5378
O2 O 0.0251 0.0114 0.2694
O3 O 0.2302 0.5223 0.9806
```

The 8 most intense peaks (10 to 90 degrees two-theta), sorted by position:
- 2θ = 20.5°, I = 22, hkl 0 2 0
- 2θ = 29.1°, I = 100, hkl 0 2 2
- 2θ = 41.5°, I = 11, hkl 0 0 4
- 2θ = 41.7°, I = 22, hkl 0 4 0
- 2θ = 51.5°, I = 14, hkl 2 2 4
- 2θ = 51.6°, I = 28, hkl 4 2 2
- 2θ = 60.3°, I = 13, hkl 0 4 4
- 2θ = 68.5°, I = 12, hkl 2 6 0

3.
KTbPrNbO6: computed powder diffraction line list (Cu Kα (weighted mean of Kα1 and Kα2)), based on a crystal structure in the Materials Project, relaxed with GGA-PBE.
Intensities are scaled so that the largest is 100.

Atomic structure:
```
data_KTbPrNbO6
_chemical_formula_sum 'K4 Tb4 Pr4 Nb4 O24'
_space_group_name_H-M_alt 'F -4 3 m'
_space_group_IT_number 216
_space_group_name_Hall 'F -4 2 3'
_cell_length_a 8.4416
_cell_length_b 8.4416
_cell_length_c 8.4416
_cell_angle_alpha 90.00
_cell_angle_beta 90.00
_cell_angle_gamma 90.00
loop_
_atom_site_label
_atom_site_type_symbol
_atom_site_fract_x
_atom_site_fract_y
_atom_site_fract_z
K1 K 0.0000 0.0000 0.0000
Tb1 Tb 0.2500 0.2500 0.2500
Pr1 Pr 0.0000 0.0000 0.5000
Nb1 Nb 0.2500 0.2500 0.7500
O1 O 0.0128 0.2500 0.7500
```

The 8 most intense peaks (10 to 90 degrees two-theta), sorted by position:
- 2θ = 18.2°, I = 17, hkl 1 1 1
- 2θ = 29.9°, I = 100, hkl 2 2 0
- 2θ = 35.3°, I = 11, hkl 3 1 1
- 2θ = 42.9°, I = 32, hkl 4 0 0
- 2θ = 53.2°, I = 40, hkl 4 2 2
- 2θ = 62.2°, I = 20, hkl 4 4 0
- 2θ = 70.6°, I = 17, hkl 6 2 0
- 2θ = 86.2°, I = 21, hkl 6 4 2

4.
KPrYNbO6: computed powder diffraction line list (Cu Kα (weighted mean of Kα1 and Kα2)), based on a crystal structure in the Materials Project, relaxed with GGA-PBE.
Intensities are scaled so that the largest is 100.

Atomic structure:
```
data_KPrYNbO6
_chemical_formula_sum 'K4 Pr4 Y4 Nb4 O24'
_space_group_name_H-M_alt 'F -4 3 m'
_space_group_IT_number 216
_space_group_name_Hall 'F -4 2 3'
_cell_length_a 8.4075
_cell_length_b 8.4075
_cell_length_c 8.4075
_cell_angle_alpha 90.00
_cell_angle_beta 90.00
_cell_angle_gamma 90.00
loop_
_atom_site_label
_atom_site_type_symbol
_atom_site_fract_x
_atom_site_fract_y
_atom_site_fract_z
K1 K 0.0000 0.0000 0.0000
Pr1 Pr 0.0000 0.0000 0.5000
Y1 Y 0.2500 0.2500 0.2500
Nb1 Nb 0.2500 0.2500 0.7500
O1 O 0.0122 0.2500 0.7500
```

The 8 most intense peaks (10 to 90 degrees two-theta), sorted by position:
- 2θ = 18.3°, I = 20, hkl 1 1 1
- 2θ = 30.1°, I = 100, hkl 2 2 0
- 2θ = 35.4°, I = 12, hkl 3 1 1
- 2θ = 43.0°, I = 35, hkl 4 0 0
- 2θ = 53.4°, I = 39, hkl 4 2 2
- 2θ = 62.5°, I = 21, hkl 4 4 0
- 2θ = 70.9°, I = 17, hkl 6 2 0
- 2θ = 86.7°, I = 20, hkl 6 4 2